Record 1
For LiHgS4, a structure optimized by DFT (PBE) gives the computed XRD peak list in this record (a wavelength of 1.5418 Å).
No peak broadening, texture or thermal motion is included.

Main lines, low angle first (2θ = 15–90°):
d 4.983, 17.8 deg, I 82
d 3.452, 25.8 deg, I 100
d 2.805, 31.9 deg, I 39
d 2.653, 33.8 deg, I 48
d 2.339, 38.5 deg, I 20
d 2.270, 39.7 deg, I 29
d 2.190, 41.2 deg, I 18
d 1.598, 57.7 deg, I 24

Crystal structure
a = 12.294 Å, b = 12.294 Å, c = 12.294 Å
α = 156.06°, β = 156.06°, γ = 34.11°
Fractional positions:
Li: 0.375 0.625 0.750
Li: 0.625 0.375 0.250
Hg: 0.125 0.875 0.250
Hg: 0.875 0.125 0.750
S: 0.160 0.721 0.439
S: 0.218 0.279 0.939
S: 0.279 0.218 0.439
S: 0.279 0.840 0.061
S: 0.721 0.160 0.939
S: 0.721 0.782 0.561
S: 0.782 0.721 0.061
S: 0.840 0.279 0.561

=====

Record 2
For Li4HgS3, a structure optimized by DFT (PBE) gives the computed XRD peak list in this record (a wavelength of 1.5418 Å).
No peak broadening, texture or thermal motion is included.

Main lines, low angle first (2θ = 15–90°):
d 5.631, 15.7 deg, I 50
d 5.006, 17.7 deg, I 100
d 4.185, 21.2 deg, I 68
d 4.049, 22.0 deg, I 72
d 3.839, 23.2 deg, I 49
d 3.585, 24.8 deg, I 49
d 2.818, 31.8 deg, I 48
d 2.778, 32.2 deg, I 49

Crystal structure
a = 7.298 Å, b = 7.298 Å, c = 8.369 Å
α = 110.98°, β = 110.98°, γ = 51.75°
Fractional positions:
Li: 0.026 0.708 0.089
Li: 0.152 0.848 0.500
Li: 0.239 0.655 0.805
Li: 0.459 0.785 0.217
Li: 0.655 0.239 0.305
Li: 0.708 0.026 0.589
Li: 0.785 0.459 0.717
Li: 0.848 0.152 0.000
Hg: 0.094 0.412 0.375
Hg: 0.412 0.094 0.875
S: 0.069 0.076 0.797
S: 0.076 0.069 0.297
S: 0.441 0.447 0.055
S: 0.447 0.441 0.555
S: 0.788 0.817 0.293
S: 0.817 0.788 0.793

=====

Record 3
For Li3HgS3, a structure optimized by DFT (PBE) gives the computed XRD peak list in this record (a wavelength of 1.5418 Å).
No peak broadening, texture or thermal motion is included.

Main lines, low angle first (2θ = 15–90°):
d 4.466, 19.9 deg, I 37
d 4.098, 21.7 deg, I 100
d 3.868, 23.0 deg, I 27
d 2.501, 35.9 deg, I 49
d 2.233, 40.4 deg, I 23
d 1.961, 46.3 deg, I 27
d 1.666, 55.1 deg, I 18
d 1.640, 56.1 deg, I 17

Crystal structure
a = 8.933 Å, b = 8.933 Å, c = 4.831 Å
α = 90.00°, β = 90.00°, γ = 120.00°
Fractional positions:
Li: 0.137 0.301 0.250
Li: 0.163 0.863 0.250
Li: 0.301 0.163 0.750
Li: 0.699 0.837 0.250
Li: 0.837 0.137 0.750
Li: 0.863 0.699 0.750
Hg: 0.333 0.667 0.750
Hg: 0.667 0.333 0.250
S: 0.160 0.348 0.750
S: 0.187 0.840 0.750
S: 0.348 0.187 0.250
S: 0.652 0.813 0.750
S: 0.813 0.160 0.250
S: 0.840 0.652 0.250

=====

Record 4
For SrLiHgS2, a structure optimized by DFT (PBE) gives the computed XRD peak list in this record (a wavelength of 1.5418 Å).
No peak broadening, texture or thermal motion is included.

Main lines, low angle first (2θ = 15–90°):
d 4.499, 19.7 deg, I 61
d 3.965, 22.4 deg, I 75
d 3.790, 23.5 deg, I 59
d 3.519, 25.3 deg, I 48
d 2.975, 30.0 deg, I 74
d 2.772, 32.3 deg, I 100
d 2.510, 35.8 deg, I 42
d 2.361, 38.1 deg, I 36

Crystal structure
a = 7.763 Å, b = 4.499 Å, c = 7.970 Å
α = 90.00°, β = 114.97°, γ = 90.00°
Fractional positions:
Sr: 0.000 0.185 0.250
Sr: 0.000 0.815 0.750
Li: 0.500 0.494 0.250
Li: 0.500 0.506 0.750
Hg: 0.500 0.000 0.000
Hg: 0.500 0.000 0.500
S: 0.208 0.324 0.015
S: 0.208 0.676 0.515
S: 0.792 0.324 0.485
S: 0.792 0.676 0.985

=====

Record 5
For Li3Hg2Sb3, a structure optimized by DFT (PBE) gives the computed XRD peak list in this record (a wavelength of 1.5418 Å).
No peak broadening, texture or thermal motion is included.

Main lines, low angle first (2θ = 15–90°):
d 4.386, 20.2 deg, I 37
d 3.379, 26.4 deg, I 69
d 3.086, 28.9 deg, I 78
d 2.865, 31.2 deg, I 100
d 2.688, 33.3 deg, I 45
d 2.388, 37.7 deg, I 60
d 2.379, 37.8 deg, I 58
d 1.888, 48.2 deg, I 39

Crystal structure
a = 12.346 Å, b = 4.774 Å, c = 7.255 Å
α = 90.00°, β = 115.95°, γ = 90.00°
Fractional positions:
Li: 0.000 0.000 0.000
Li: 0.129 0.000 0.701
Li: 0.371 0.500 0.299
Li: 0.500 0.500 0.000
Li: 0.629 0.500 0.701
Li: 0.871 0.000 0.299
Hg: 0.224 0.000 0.346
Hg: 0.276 0.500 0.654
Hg: 0.724 0.500 0.346
Hg: 0.776 0.000 0.654
Sb: 0.000 0.500 0.500
Sb: 0.113 0.500 0.979
Sb: 0.387 0.000 0.021
Sb: 0.500 0.000 0.500
Sb: 0.613 0.000 0.979
Sb: 0.887 0.500 0.021

=====

Record 6
For Li7Hg2Sb, a structure optimized by DFT (PBE) gives the computed XRD peak list in this record (a wavelength of 1.5418 Å).
No peak broadening, texture or thermal motion is included.

Main lines, low angle first (2θ = 15–90°):
d 3.759, 23.7 deg, I 100
d 3.739, 23.8 deg, I 31
d 3.251, 27.4 deg, I 63
d 2.303, 39.1 deg, I 32
d 2.294, 39.3 deg, I 32
d 1.962, 46.3 deg, I 50
d 1.955, 46.4 deg, I 15
d 1.494, 62.1 deg, I 14

Crystal structure
a = 4.607 Å, b = 4.607 Å, c = 11.217 Å
α = 90.00°, β = 90.00°, γ = 120.00°
Fractional positions:
Li: 0.000 0.000 0.000
Li: 0.000 0.000 0.238
Li: 0.000 0.000 0.732
Li: 0.333 0.667 0.387
Li: 0.333 0.667 0.882
Li: 0.667 0.333 0.109
Li: 0.667 0.333 0.575
Hg: 0.000 0.000 0.486
Hg: 0.667 0.333 0.833
Sb: 0.333 0.667 0.133

=====

Record 7
For Li4Hg3Sb, a structure optimized by DFT (PBE) gives the computed XRD peak list in this record (a wavelength of 1.5418 Å).
No peak broadening, texture or thermal motion is included.

Main lines, low angle first (2θ = 15–90°):
d 3.485, 25.6 deg, I 100
d 3.237, 27.6 deg, I 42
d 2.464, 36.5 deg, I 45
d 2.372, 37.9 deg, I 81
d 1.960, 46.3 deg, I 31
d 1.742, 52.5 deg, I 16
d 1.559, 59.3 deg, I 20
d 1.405, 66.5 deg, I 16

Crystal structure
a = 13.841 Å, b = 4.928 Å, c = 4.928 Å
α = 90.00°, β = 110.70°, γ = 90.00°
Fractional positions:
Li: 0.121 0.000 0.121
Li: 0.121 0.500 0.621
Li: 0.379 0.000 0.379
Li: 0.379 0.500 0.879
Li: 0.621 0.000 0.621
Li: 0.621 0.500 0.121
Li: 0.879 0.000 0.879
Li: 0.879 0.500 0.379
Hg: 0.000 0.000 0.500
Hg: 0.250 0.000 0.751
Hg: 0.250 0.500 0.249
Hg: 0.500 0.500 0.500
Hg: 0.750 0.000 0.249
Hg: 0.750 0.500 0.751
Sb: 0.000 0.500 0.000
Sb: 0.500 0.000 0.000

=====

Record 8
For Li2Hg5Sb2, a structure optimized by DFT (PBE) gives the computed XRD peak list in this record (a wavelength of 1.5418 Å).
No peak broadening, texture or thermal motion is included.

Main lines, low angle first (2θ = 15–90°):
d 3.298, 27.0 deg, I 59
d 3.258, 27.4 deg, I 100
d 3.072, 29.1 deg, I 39
d 2.910, 30.7 deg, I 77
d 2.727, 32.8 deg, I 33
d 2.477, 36.3 deg, I 41
d 2.383, 37.8 deg, I 36
d 2.292, 39.3 deg, I 38

Crystal structure
a = 7.351 Å, b = 7.573 Å, c = 9.472 Å
α = 112.77°, β = 108.57°, γ = 90.82°
Fractional positions:
Li: 0.000 0.000 0.000
Li: 0.027 0.655 0.483
Li: 0.383 0.464 0.925
Li: 0.743 0.023 0.465
Hg: 0.082 0.432 0.174
Hg: 0.320 0.739 0.799
Hg: 0.348 0.849 0.161
Hg: 0.380 0.413 0.485
Hg: 0.394 0.041 0.530
Hg: 0.623 0.615 0.291
Hg: 0.704 0.213 0.892
Hg: 0.732 0.809 0.653
Hg: 0.845 0.239 0.305
Hg: 0.976 0.419 0.674
Sb: 0.138 0.065 0.728
Sb: 0.402 0.210 0.087
Sb: 0.725 0.617 0.879
Sb: 0.954 0.830 0.231

=====

Record 9
For Li8Hg3Sb4, a structure optimized by DFT (PBE) gives the computed XRD peak list in this record (a wavelength of 1.5418 Å).
No peak broadening, texture or thermal motion is included.

Main lines, low angle first (2θ = 15–90°):
d 3.506, 25.4 deg, I 100
d 3.318, 26.9 deg, I 91
d 3.278, 27.2 deg, I 89
d 2.410, 37.3 deg, I 85
d 2.394, 37.6 deg, I 84
d 2.332, 38.6 deg, I 84
d 1.942, 46.8 deg, I 77
d 1.364, 68.9 deg, I 27

Crystal structure
a = 9.654 Å, b = 9.599 Å, c = 9.329 Å
α = 61.31°, β = 60.73°, γ = 57.96°
Fractional positions:
Li: 0.080 0.642 0.639
Li: 0.122 0.620 0.130
Li: 0.129 0.130 0.620
Li: 0.130 0.129 0.122
Li: 0.358 0.920 0.362
Li: 0.361 0.362 0.920
Li: 0.362 0.361 0.358
Li: 0.380 0.878 0.871
Li: 0.620 0.122 0.129
Li: 0.638 0.639 0.642
Li: 0.639 0.638 0.080
Li: 0.642 0.080 0.638
Li: 0.870 0.871 0.878
Li: 0.871 0.870 0.380
Li: 0.878 0.380 0.870
Li: 0.920 0.358 0.361
Hg: 0.256 0.744 0.744
Hg: 0.259 0.741 0.259
Hg: 0.272 0.272 0.728
Hg: 0.728 0.728 0.272
Hg: 0.741 0.259 0.741
Hg: 0.744 0.256 0.256
Sb: 0.000 0.000 0.000
Sb: 0.000 0.000 0.500
Sb: 0.000 0.500 0.000
Sb: 0.000 0.500 0.500
Sb: 0.500 0.000 0.000
Sb: 0.500 0.000 0.500
Sb: 0.500 0.500 0.000
Sb: 0.500 0.500 0.500

=====

Record 10
For Li3HgSb2, a structure optimized by DFT (PBE) gives the computed XRD peak list in this record (a wavelength of 1.5418 Å).
No peak broadening, texture or thermal motion is included.

Main lines, low angle first (2θ = 15–90°):
d 4.261, 20.8 deg, I 84
d 3.116, 28.6 deg, I 77
d 2.516, 35.7 deg, I 100
d 2.204, 41.0 deg, I 34
d 2.131, 42.4 deg, I 16
d 1.957, 46.4 deg, I 41
d 1.759, 52.0 deg, I 30
d 1.532, 60.4 deg, I 22

Crystal structure
a = 4.412 Å, b = 4.261 Å, c = 6.958 Å
α = 90.00°, β = 108.35°, γ = 90.00°
Fractional positions:
Li: 0.000 0.000 0.000
Li: 0.330 0.000 0.660
Li: 0.670 0.000 0.340
Hg: 0.500 0.500 0.000
Sb: 0.164 0.500 0.326
Sb: 0.836 0.500 0.674

=====

Record 11
For LiHg2SbTe4, a structure optimized by DFT (PBE) gives the computed XRD peak list in this record (a wavelength of 1.5418 Å).
No peak broadening, texture or thermal motion is included.

Main lines, low angle first (2θ = 15–90°):
d 4.690, 18.9 deg, I 11
d 3.847, 23.1 deg, I 100
d 2.361, 38.1 deg, I 54
d 2.345, 38.4 deg, I 26
d 2.023, 44.8 deg, I 17
d 2.002, 45.3 deg, I 33
d 1.532, 60.4 deg, I 14
d 1.357, 69.2 deg, I 18

Crystal structure
a = 6.632 Å, b = 6.632 Å, c = 13.452 Å
α = 90.00°, β = 90.00°, γ = 90.00°
Fractional positions:
Li: 0.000 0.000 0.000
Li: 0.500 0.500 0.500
Hg: 0.000 0.500 0.250
Hg: 0.000 0.500 0.750
Hg: 0.500 0.000 0.250
Hg: 0.500 0.000 0.750
Sb: 0.000 0.000 0.500
Sb: 0.500 0.500 0.000
Te: 0.235 0.235 0.875
Te: 0.235 0.765 0.125
Te: 0.265 0.265 0.375
Te: 0.265 0.735 0.625
Te: 0.735 0.265 0.625
Te: 0.735 0.735 0.375
Te: 0.765 0.235 0.125
Te: 0.765 0.765 0.875

=====

Record 12
For Li2ScHg7, a structure optimized by DFT (PBE) gives the computed XRD peak list in this record (a wavelength of 1.5418 Å).
No peak broadening, texture or thermal motion is included.

Main lines, low angle first (2θ = 15–90°):
d 3.378, 26.4 deg, I 79
d 2.811, 31.8 deg, I 54
d 2.428, 37.0 deg, I 100
d 2.350, 38.3 deg, I 60
d 1.972, 46.0 deg, I 18
d 1.689, 54.3 deg, I 22
d 1.402, 66.7 deg, I 18
d 1.387, 67.6 deg, I 23

Crystal structure
a = 4.857 Å, b = 4.857 Å, c = 11.336 Å
α = 90.00°, β = 90.00°, γ = 120.00°
Fractional positions:
Li: 0.000 0.000 0.000
Li: 0.333 0.667 0.580
Sc: 0.667 0.333 0.378
Hg: 0.000 0.000 0.234
Hg: 0.000 0.000 0.502
Hg: 0.000 0.000 0.767
Hg: 0.333 0.667 0.317
Hg: 0.333 0.667 0.917
Hg: 0.667 0.333 0.093
Hg: 0.667 0.333 0.645

=====

Record 13
For LiScHg5, a structure optimized by DFT (PBE) gives the computed XRD peak list in this record (a wavelength of 1.5418 Å).
No peak broadening, texture or thermal motion is included.

Main lines, low angle first (2θ = 15–90°):
d 3.876, 22.9 deg, I 26
d 3.177, 28.1 deg, I 33
d 2.939, 30.4 deg, I 40
d 2.581, 34.8 deg, I 20
d 2.456, 36.6 deg, I 100
d 2.247, 40.1 deg, I 48
d 1.694, 54.1 deg, I 23
d 1.334, 70.6 deg, I 30

Crystal structure
a = 4.493 Å, b = 4.493 Å, c = 15.484 Å
α = 90.00°, β = 90.00°, γ = 90.02°
Fractional positions:
Li: 0.000 0.000 0.000
Li: 0.000 0.000 0.500
Sc: 0.498 0.502 0.750
Sc: 0.502 0.498 0.250
Hg: 0.002 0.499 0.105
Hg: 0.002 0.499 0.395
Hg: 0.002 0.998 0.250
Hg: 0.499 0.002 0.605
Hg: 0.499 0.002 0.895
Hg: 0.501 0.998 0.105
Hg: 0.501 0.998 0.395
Hg: 0.998 0.002 0.750
Hg: 0.998 0.501 0.605
Hg: 0.998 0.501 0.895